No. 1
For Al2CuSe4, DFT lattice parameters and positions (PBE) gives the theoretical PXRD pattern in this record (Cu Ka).
Lines closer than 0.1° are merged.

Structure:
abc: 5.3277 5.3277 5.9110
angles: 90.00 90.00 90.00
Sites, in units of the cell vectors:
Al: 0.0000 0.5000 0.0000
Al: 0.5000 0.0000 0.0000
Cu: 0.0000 0.0000 0.5000
Se: 0.2622 0.2622 0.7432
Se: 0.2622 0.7378 0.2568
Se: 0.7378 0.2622 0.2568
Se: 0.7378 0.7378 0.7432

Top 10 peaks for 2θ = 10–90°, sorted by position:
22.5 deg, I 7; 28.1 deg, I 100; 33.6 deg, I 10; 45.9 deg, I 42; 48.3 deg, I 18; 52.4 deg, I 17; 56.8 deg, I 25; 74.0 deg, I 11; 83.1 deg, I 7; 88.5 deg, I 12



No. 2
For AlCuSnSe4, DFT lattice parameters and positions (PBE) gives the theoretical PXRD pattern in this record (Cu Ka).
Lines closer than 0.1° are merged.

Structure:
abc: 6.9335 6.9335 6.9335
angles: 131.88 131.88 70.42
Sites, in units of the cell vectors:
Al: 0.0000 0.0000 0.0000
Cu: 0.5000 0.5000 0.0000
Sn: 0.7500 0.2500 0.5000
Se: 0.1471 0.6499 0.0426
Se: 0.3501 0.3927 0.4972
Se: 0.6073 0.1046 0.9574
Se: 0.8954 0.8529 0.5028

Top 10 peaks for 2θ = 10–90°, sorted by position:
17.5 deg, I 19; 27.3 deg, I 100; 28.4 deg, I 15; 36.4 deg, I 18; 43.0 deg, I 10; 45.3 deg, I 69; 53.7 deg, I 42; 72.9 deg, I 16; 83.7 deg, I 8; 83.8 deg, I 13



No. 3
For SrAlCu2Se4, DFT lattice parameters and positions (PBE) gives the theoretical PXRD pattern in this record (Cu Ka).
Lines closer than 0.1° are merged.

Structure:
abc: 6.2832 6.2832 6.2832
angles: 115.10 114.95 98.86
Sites, in units of the cell vectors:
Sr: 0.0000 0.0000 0.0000
Al: 0.5000 0.5000 0.0000
Cu: 0.2538 0.7538 0.5000
Cu: 0.7462 0.2462 0.5000
Se: 0.1235 0.1231 0.5908
Se: 0.4677 0.8769 0.0004
Se: 0.5323 0.5326 0.4092
Se: 0.8765 0.4674 0.9996

Top 10 peaks for 2θ = 10–90°, sorted by position:
21.7 deg, I 17; 28.8 deg, I 100; 31.6 deg, I 41; 35.5 deg, I 11; 37.7 deg, I 47; 48.1 deg, I 45; 48.5 deg, I 15; 52.3 deg, I 19; 60.0 deg, I 14; 78.8 deg, I 10



No. 4
For Al4CuSi, DFT lattice parameters and positions (PBE) gives the theoretical PXRD pattern in this record (Cu Ka).
Lines closer than 0.1° are merged.

Structure:
abc: 8.0869 8.0869 8.3311
angles: 90.00 90.00 160.07
Sites, in units of the cell vectors:
Al: 0.0000 0.0000 0.0000
Al: 0.0000 0.0000 0.5000
Al: 0.1723 0.8277 0.5178
Al: 0.1723 0.8277 0.9822
Al: 0.4278 0.5722 0.2500
Al: 0.5722 0.4278 0.7500
Al: 0.8277 0.1723 0.0178
Al: 0.8277 0.1723 0.4822
Cu: 0.2625 0.7375 0.2500
Cu: 0.7375 0.2625 0.7500
Si: 0.3847 0.6153 0.7500
Si: 0.6153 0.3847 0.2500

Top 10 peaks for 2θ = 10–90°, sorted by position:
11.1 deg, I 92; 24.1 deg, I 26; 34.3 deg, I 34; 37.9 deg, I 32; 39.2 deg, I 74; 40.3 deg, I 100; 43.4 deg, I 52; 44.4 deg, I 51; 46.4 deg, I 26; 81.0 deg, I 24



Number 2 is which compound? AlCuSnSe4